Hf5ZrPb2: calculated powder X-ray diffraction pattern (λ = 1.5418 Å (Cu Kα)), based on a cell relaxed with GGA-PBE.
Lines closer than 0.1° are merged.

Structure:
```
16
Lattice="6.346 0.000 0.000 0.000 12.694 0.000 0.000 0.000 4.461" Properties=species:S:1:pos:R:3 pbc="T T T"
Hf 0.000 0.000 0.000
Hf 6.346 3.153 0.000
Hf 0.000 9.540 0.000
Hf 1.585 1.604 2.231
Hf 1.588 7.951 2.231
Hf 3.173 3.193 0.000
Hf 3.173 6.347 0.000
Hf 3.173 9.500 0.000
Hf 4.758 4.742 2.231
Hf 4.761 11.089 2.231
Zr 0.000 6.347 0.000
Zr 3.173 0.000 0.000
Pb 1.589 4.766 2.231
Pb 1.584 11.113 2.231
Pb 4.762 1.581 2.231
Pb 4.756 7.928 2.231
```

Peak list (10 most intense, 15° ≤ 2θ ≤ 90°, sorted by position)
two_theta, I/Imax
34.7, 100
40.2, 34
40.4, 16
58.1, 11
58.3, 23
69.5, 27
69.8, 13
73.2, 12
86.8, 4
87.4, 2

***

Hf3Pd7: calculated powder X-ray diffraction pattern (λ = 1.5418 Å (Cu Kα)), based on a cell relaxed with GGA-PBE.
Lines closer than 0.1° are merged.

Structure:
```
10
Lattice="7.407 -2.017 0.000 7.407 2.017 0.000 -1.279 0.000 5.569" Properties=species:S:1:pos:R:3 pbc="T T T"
Hf 0.000 0.000 0.000
Hf 2.027 0.000 3.491
Hf 11.508 0.000 2.078
Pd -0.640 0.000 2.785
Pd 2.812 0.000 0.681
Pd 5.020 0.000 3.847
Pd 5.732 0.000 1.083
Pd 7.803 0.000 4.486
Pd 8.515 0.000 1.723
Pd 10.723 0.000 4.888
```

Peak list (10 most intense, 15° ≤ 2θ ≤ 90°, sorted by position)
two_theta, I/Imax
38.3, 100
38.6, 95
43.9, 30
44.9, 33
45.4, 31
64.6, 19
65.8, 21
78.5, 12
78.7, 12
78.9, 12

***

HfPd4: calculated powder X-ray diffraction pattern (λ = 1.5418 Å (Cu Kα)), based on a cell relaxed with GGA-PBE.
Lines closer than 0.1° are merged.

Structure:
```
10
Lattice="-2.081 2.805 6.974 2.081 -2.805 6.974 2.081 2.805 -6.974" Properties=species:S:1:pos:R:3 pbc="T T T"
Hf 0.000 1.402 1.494
Hf 2.081 1.402 5.480
Pd 2.081 0.000 0.000
Pd 2.081 -1.402 5.590
Pd 2.081 -0.011 2.688
Pd 2.081 2.794 -2.688
Pd 0.000 0.000 6.974
Pd 0.000 0.011 9.662
Pd 0.000 2.815 4.287
Pd 0.000 4.207 1.385
```

Peak list (10 most intense, 15° ≤ 2θ ≤ 90°, sorted by position)
two_theta, I/Imax
38.9, 100
39.3, 91
41.3, 34
43.5, 52
51.0, 25
61.5, 21
69.2, 18
76.7, 13
77.0, 12
80.0, 24